The following is a simulated powder XRD pattern of LaNb2CuClO7. It was derived from a GGA-PBE-relaxed structure, using Cu Kα (λ = 1.5418 Å).
Peak positions follow from Bragg's law for the DFT cell and can differ from measured ones.

Main lines, sorted by position (10 to 90 degrees two-theta):
two_theta	Rel. int.
22.46	29
23.71	22
27.15	100
31.97	82
32.12	85
44.68	30
45.84	47
54.09	35
57.07	32
57.35	21

Lattice parameters (Å, degrees): 3.9583 11.7706 3.9595 90.00 90.00 90.00
Element x y z (fractional)
La: 0.0000 0.0000 0.0000
Nb: 0.5000 0.1904 0.5184
Nb: 0.5000 0.8096 0.5184
Cu: 0.5000 0.5000 0.6214
Cl: 0.0000 0.5000 0.9341
O: 0.0000 0.1538 0.5291
O: 0.0000 0.8462 0.5291
O: 0.5000 0.0000 0.5461
O: 0.5000 0.1545 0.0282
O: 0.5000 0.3440 0.5374
O: 0.5000 0.6560 0.5374
O: 0.5000 0.8455 0.0282

***

The following is a simulated powder XRD pattern of RbCu3Cl8. It was derived from a GGA-PBE-relaxed structure, using Cu Kα (λ = 1.5418 Å).
Peak positions follow from Bragg's law for the DFT cell and can differ from measured ones.

Main lines, sorted by position (10 to 90 degrees two-theta):
two_theta	Rel. int.
18.91	100
25.66	73
28.02	65
29.79	59
30.00	35
34.59	46
38.36	34
48.17	35
49.59	52
49.87	55

Lattice parameters (Å, degrees): 6.3685 6.3685 8.9354 90.00 90.00 120.00
Element x y z (fractional)
Rb: 0.0000 0.0000 0.0000
Cu: 0.0000 0.0000 0.5000
Cu: 0.3333 0.6667 0.7210
Cu: 0.6667 0.3333 0.2790
Cl: 0.0175 0.7105 0.6576
Cl: 0.2895 0.3070 0.6576
Cl: 0.3070 0.0175 0.3424
Cl: 0.3333 0.6667 0.9672
Cl: 0.6667 0.3333 0.0328
Cl: 0.6930 0.9825 0.6576
Cl: 0.7105 0.6930 0.3424
Cl: 0.9825 0.2895 0.3424

***

The following is a simulated powder XRD pattern of Nb3Se4S2. It was derived from a GGA-PBE-relaxed structure, using Cu Kα (λ = 1.5418 Å).
Peak positions follow from Bragg's law for the DFT cell and can differ from measured ones.

Main lines, sorted by position (10 to 90 degrees two-theta):
two_theta	Rel. int.
10.28	64
13.73	59
30.00	53
34.78	25
36.70	100
43.83	44
46.57	29
53.27	44
62.34	17
78.67	18

Lattice parameters (Å, degrees): 3.4390 3.4390 25.8075 90.00 90.00 120.00
Element x y z (fractional)
Nb: 0.0000 0.0000 0.0000
Nb: 0.3333 0.6667 0.2624
Nb: 0.3333 0.6667 0.7376
Se: 0.0000 0.0000 0.1967
Se: 0.0000 0.0000 0.3284
Se: 0.0000 0.0000 0.6716
Se: 0.0000 0.0000 0.8033
S: 0.3333 0.6667 0.0597
S: 0.3333 0.6667 0.9403

***

The following is a simulated powder XRD pattern of BaNa2P2Pd. It was derived from a GGA-PBE-relaxed structure, using Cu Kα (λ = 1.5418 Å).
Peak positions follow from Bragg's law for the DFT cell and can differ from measured ones.

Main lines, sorted by position (10 to 90 degrees two-theta):
two_theta	Rel. int.
15.91	32
23.16	95
28.22	100
32.13	30
32.99	72
39.98	30
46.71	41
47.35	25
54.91	25
56.03	29

Lattice parameters (Å, degrees): 6.7672 6.7672 6.7672 132.69 132.69 69.15
Element x y z (fractional)
Ba: 0.0000 0.0000 0.0000
Na: 0.2500 0.7500 0.5000
Na: 0.7500 0.2500 0.5000
P: 0.2991 0.2991 0.0000
P: 0.7009 0.7009 0.0000
Pd: 0.5000 0.5000 0.0000

***

The following is a simulated powder XRD pattern of CsAuI3. It was derived from a GGA-PBE-relaxed structure, using Cu Kα (λ = 1.5418 Å).
Peak positions follow from Bragg's law for the DFT cell and can differ from measured ones.

Main lines, sorted by position (10 to 90 degrees two-theta):
two_theta	Rel. int.
10.99	40
17.09	53
17.43	62
22.72	100
23.49	46
23.67	51
24.90	50
27.98	42
30.12	54
33.45	40

Lattice parameters (Å, degrees): 5.6368 8.8207 11.2823 71.64 84.39 73.08
Element x y z (fractional)
Cs: 0.0000 0.0000 0.0000
Cs: 0.0296 0.3348 0.4410
Au: 0.2182 0.5831 0.7084
Au: 0.3541 0.3182 0.1177
I: 0.0132 0.5115 0.9576
I: 0.3744 0.6619 0.4608
I: 0.4561 0.2633 0.7378
I: 0.5725 0.6944 0.1919
I: 0.6634 0.1215 0.2913
I: 0.9690 0.8994 0.6723

***

The following is a simulated powder XRD pattern of Cs2Se. It was derived from a GGA-PBE-relaxed structure, using Cu Kα (λ = 1.5418 Å).
Peak positions follow from Bragg's law for the DFT cell and can differ from measured ones.

Main lines, sorted by position (10 to 90 degrees two-theta):
two_theta	Rel. int.
15.89	23
19.49	100
22.54	25
32.09	73
37.83	54
46.02	13
50.43	24
57.21	28
61.04	18
70.65	17

Lattice parameters (Å, degrees): 7.8881 7.8881 7.8881 90.00 90.00 90.00
Element x y z (fractional)
Cs: 0.0000 0.0000 0.0000
Cs: 0.0000 0.5000 0.5000
Cs: 0.5000 0.0000 0.5000
Cs: 0.5000 0.5000 0.0000
Se: 0.2500 0.2500 0.2500
Se: 0.7500 0.7500 0.7500

***

The following is a simulated powder XRD pattern of AgHPtAu. It was derived from a GGA-PBE-relaxed structure, using Cu Kα (λ = 1.5418 Å).
Peak positions follow from Bragg's law for the DFT cell and can differ from measured ones.

Main lines, sorted by position (10 to 90 degrees two-theta):
two_theta	Rel. int.
13.58	23
36.91	100
37.14	49
37.29	49
41.53	34
43.81	63
61.85	21
62.06	21
72.76	18
75.76	25

Lattice parameters (Å, degrees): 6.8363 6.8363 2.9057 102.03 102.03 24.83
Element x y z (fractional)
Ag: 0.0000 0.0000 0.0000
H: 0.8872 0.8872 0.3884
Pt: 0.3162 0.3162 0.3139
Au: 0.6595 0.6595 0.6584

***

The following is a simulated powder XRD pattern of SmAl6Fe3. It was derived from a GGA-PBE-relaxed structure, using Cu Kα (λ = 1.5418 Å).
Peak positions follow from Bragg's law for the DFT cell and can differ from measured ones.

Main lines, sorted by position (10 to 90 degrees two-theta):
two_theta	Rel. int.
13.85	68
19.53	30
33.16	69
36.10	79
38.78	41
42.41	32
43.88	100
54.87	29
66.73	27
69.60	24

Lattice parameters (Å, degrees): 7.1125 7.1125 7.1125 44.64 44.64 44.64
Element x y z (fractional)
Sm: 0.0000 0.0000 0.0000
Al: 0.1038 0.6006 0.6006
Al: 0.4022 0.4022 0.9017
Al: 0.4022 0.9017 0.4022
Al: 0.6006 0.1038 0.6006
Al: 0.6006 0.6006 0.1038
Al: 0.9017 0.4022 0.4022
Fe: 0.3392 0.3392 0.3392
Fe: 0.6709 0.6709 0.6709
Fe: 0.8611 0.8611 0.8611

***

The following is a simulated powder XRD pattern of TeS7Cl2. It was derived from a GGA-PBE-relaxed structure, using Cu Kα (λ = 1.5418 Å).
Peak positions follow from Bragg's law for the DFT cell and can differ from measured ones.

Main lines, sorted by position (10 to 90 degrees two-theta):
two_theta	Rel. int.
14.38	100
17.63	49
21.41	26
21.81	24
23.81	15
24.51	61
27.87	39
32.46	17
33.46	15
38.24	14

Lattice parameters (Å, degrees): 10.0603 9.4140 13.8694 90.00 90.00 90.00
Element x y z (fractional)
Te: 0.1993 0.2500 0.1043
Te: 0.3007 0.7500 0.6043
Te: 0.6993 0.2500 0.3957
Te: 0.8007 0.7500 0.8957
S: 0.1401 0.5725 0.2989
S: 0.1401 0.9275 0.2989
S: 0.1747 0.5417 0.5363
S: 0.1747 0.9583 0.5363
S: 0.2331 0.7500 0.2448
S: 0.2476 0.5188 0.9095
S: 0.2476 0.9812 0.9095
S: 0.2524 0.0188 0.4095
S: 0.2524 0.4812 0.4095
S: 0.2669 0.2500 0.7448
S: 0.3253 0.0417 0.0363
S: 0.3253 0.4583 0.0363
S: 0.3599 0.0725 0.7989
S: 0.3599 0.4275 0.7989
S: 0.6401 0.5725 0.2011
S: 0.6401 0.9275 0.2011
S: 0.6747 0.5417 0.9637
S: 0.6747 0.9583 0.9637
S: 0.7331 0.7500 0.2552
S: 0.7476 0.5188 0.5905
S: 0.7476 0.9812 0.5905
S: 0.7524 0.0188 0.0905
S: 0.7524 0.4812 0.0905
S: 0.7669 0.2500 0.7552
S: 0.8253 0.0417 0.4637
S: 0.8253 0.4583 0.4637
S: 0.8599 0.0725 0.7011
S: 0.8599 0.4275 0.7011
Cl: 0.0377 0.2500 0.9728
Cl: 0.1011 0.7500 0.7160
Cl: 0.3989 0.2500 0.2160
Cl: 0.4623 0.7500 0.4728
Cl: 0.5377 0.2500 0.5272
Cl: 0.6011 0.7500 0.7840
Cl: 0.8989 0.2500 0.2840
Cl: 0.9623 0.7500 0.0272

***

The following is a simulated powder XRD pattern of CoNi2HAu. It was derived from a GGA-PBE-relaxed structure, using Cu Kα (λ = 1.5418 Å).
Peak positions follow from Bragg's law for the DFT cell and can differ from measured ones.

Main lines, sorted by position (10 to 90 degrees two-theta):
two_theta	Rel. int.
23.67	25
23.93	11
33.72	10
33.91	22
41.77	100
48.43	33
48.99	16
71.35	20
85.81	24
86.67	12

Lattice parameters (Å, degrees): 3.7594 3.7594 3.7186 90.00 90.00 90.00
Element x y z (fractional)
Co: 0.0000 0.0000 0.0000
Ni: 0.0000 0.5000 0.5000
Ni: 0.5000 0.0000 0.5000
H: 0.0000 0.0000 0.5000
Au: 0.5000 0.5000 0.0000

***

The following is a simulated powder XRD pattern of CePm6Th. It was derived from a GGA-PBE-relaxed structure, using Cu Kα (λ = 1.5418 Å).
Peak positions follow from Bragg's law for the DFT cell and can differ from measured ones.

Main lines, sorted by position (10 to 90 degrees two-theta):
two_theta	Rel. int.
27.63	23
29.78	84
29.96	51
30.21	25
30.41	100
30.99	24
31.84	38
31.93	29
32.77	28
33.33	53

Lattice parameters (Å, degrees): 6.5133 6.8616 6.8834 60.82 84.70 82.69
Element x y z (fractional)
Ce: 0.0000 0.0000 0.0000
Pm: 0.2346 0.0975 0.4269
Pm: 0.2530 0.5580 0.4429
Pm: 0.2614 0.5738 0.9056
Pm: 0.7386 0.4262 0.0944
Pm: 0.7470 0.4420 0.5571
Pm: 0.7654 0.9025 0.5731
Th: 0.5000 0.0000 0.0000

***

The following is a simulated powder XRD pattern of Ce5Tl5Co2. It was derived from a GGA-PBE-relaxed structure, using Cu Kα (λ = 1.5418 Å).
Peak positions follow from Bragg's law for the DFT cell and can differ from measured ones.

Main lines, sorted by position (10 to 90 degrees two-theta):
two_theta	Rel. int.
20.44	18
29.42	64
29.99	26
31.50	46
31.86	29
32.40	100
33.28	17
33.97	25
35.97	84
50.28	26

Lattice parameters (Å, degrees): 6.3193 6.3193 11.2393 100.11 100.11 46.56
Element x y z (fractional)
Ce: 0.0000 0.0000 0.0000
Ce: 0.0788 0.0788 0.3316
Ce: 0.3373 0.3373 0.1375
Ce: 0.6627 0.6627 0.8625
Ce: 0.9212 0.9212 0.6684
Tl: 0.1925 0.1925 0.6159
Tl: 0.3687 0.3687 0.8484
Tl: 0.5000 0.5000 0.5000
Tl: 0.6313 0.6313 0.1516
Tl: 0.8075 0.8075 0.3841
Co: 0.1372 0.1372 0.8628
Co: 0.8628 0.8628 0.1372